# 1
Structure and theoretical powder diffractogram of Tm2In5Rh3 (a GGA-PBE-relaxed structure; Cu Kα (λ = 1.5418 Å)).
Kinematic intensities with the Lorentz-polarization factor, no thermal factor.

Largest 10 diffraction maxima, by angle, 15 to 90 degrees two-theta:
h k l  two_theta  intensity
1 1 2  32.13  28.6
1 7 1  33.62  100.0
0 10 1  36.19  20.3
1 5 2  36.30  11.8
1 9 0  36.86  15.9
2 0 0  41.15  33.7
0 6 3  42.54  13.2
1 3 3  43.85  10.7
2 10 1  55.94  11.8
3 7 1  70.21  11.5

Crystal structure
```
data_Tm2In5Rh3
_space_group_name_H-M_alt 'C m c 21'
_space_group_IT_number 36
_space_group_name_Hall 'C 2c -2'
_cell_length_a 4.387
_cell_length_b 26.404
_cell_length_c 7.281
_cell_angle_alpha 90.00
_cell_angle_beta 90.00
_cell_angle_gamma 90.00
loop_
_atom_site_label
_atom_site_fract_x
_atom_site_fract_y
_atom_site_fract_z
Tm1 0.000 0.027 0.000
Tm2 0.000 0.323 0.879
In1 0.000 0.097 0.610
In2 0.000 0.206 0.078
In3 0.000 0.208 0.671
In4 0.000 0.374 0.449
In5 0.000 0.446 0.831
Rh1 0.000 0.112 0.227
Rh2 0.000 0.269 0.372
Rh3 0.000 0.458 0.217
```

---

# 2
Structure and theoretical powder diffractogram of Tm7InRh2 (a GGA-PBE-relaxed structure; Cu Kα (λ = 1.5418 Å)).
Kinematic intensities with the Lorentz-polarization factor, no thermal factor.

Largest 10 diffraction maxima, by angle, 15 to 90 degrees two-theta:
h k l  two_theta  intensity
0 0 1  17.28  83.7
2 0 1  26.75  46.7
1 3 1  28.26  77.2
0 4 1  31.71  60.5
2 4 0  33.49  100.0
1 5 0  34.73  42.7
0 0 2  34.96  92.1
3 1 1  36.00  75.5
3 3 0  36.67  44.9
2 4 2  49.20  70.3

Crystal structure
```
data_Tm7InRh2
_space_group_name_H-M_alt 'C m m m'
_space_group_IT_number 65
_space_group_name_Hall '-C 2 2'
_cell_length_a 8.763
_cell_length_b 13.515
_cell_length_c 5.133
_cell_angle_alpha 90.00
_cell_angle_beta 90.00
_cell_angle_gamma 90.00
loop_
_atom_site_label
_atom_site_fract_x
_atom_site_fract_y
_atom_site_fract_z
Tm1 0.000 0.000 0.000
Tm2 0.000 0.216 0.500
Tm3 0.186 0.371 0.000
In1 0.000 0.500 0.500
Rh1 0.000 0.203 0.000
```

---

# 3
Structure and theoretical powder diffractogram of Tm5In2Rh2 (a GGA-PBE-relaxed structure; Cu Kα (λ = 1.5418 Å)).
Kinematic intensities with the Lorentz-polarization factor, no thermal factor.

Largest 10 diffraction maxima, by angle, 15 to 90 degrees two-theta:
h k l  two_theta  intensity
3 1 2  31.63  53.2
5 1 1  32.36  37.9
4 2 0  32.48  54.6
4 0 2  32.75  47.8
0 2 2  34.05  36.1
4 2 1  34.73  79.4
1 3 1  38.40  49.9
5 1 2  38.82  100.0
0 2 4  55.38  28.2
5 3 3  59.87  28.8

Crystal structure
```
data_Tm5In2Rh2
_space_group_name_H-M_alt 'C m c e'
_space_group_IT_number 64
_space_group_name_Hall '-C 2ac 2'
_cell_length_a 16.258
_cell_length_b 7.502
_cell_length_c 7.394
_cell_angle_alpha 90.00
_cell_angle_beta 90.00
_cell_angle_gamma 90.00
loop_
_atom_site_label
_atom_site_fract_x
_atom_site_fract_y
_atom_site_fract_z
Tm1 0.000 0.000 0.000
Tm2 0.116 0.171 0.334
In1 0.222 0.000 0.000
Rh1 0.000 0.135 0.635
```

---

# 4
Structure and theoretical powder diffractogram of V2InRh3 (a GGA-PBE-relaxed structure; Cu Kα (λ = 1.5418 Å)).
Kinematic intensities with the Lorentz-polarization factor, no thermal factor.

Largest 10 diffraction maxima, by angle, 15 to 90 degrees two-theta:
h k l  two_theta  intensity
1 0 1  32.42  5.4
1 0 2  35.48  7.4
1 0 3  40.12  100.0
1 1 0  44.92  38.4
0 0 6  50.01  10.5
2 0 0  65.41  12.0
1 1 6  69.47  15.0
2 1 3  79.58  25.1
2 0 6  86.63  8.3
1 0 9  87.13  5.7

Crystal structure
```
data_V2InRh3
_space_group_name_H-M_alt 'P 4/m m m'
_space_group_IT_number 123
_space_group_name_Hall '-P 4 2'
_cell_length_a 2.854
_cell_length_b 2.854
_cell_length_c 10.943
_cell_angle_alpha 90.00
_cell_angle_beta 90.00
_cell_angle_gamma 90.00
loop_
_atom_site_label
_atom_site_fract_x
_atom_site_fract_y
_atom_site_fract_z
V1 0.000 0.000 0.161
In1 0.000 0.000 0.500
Rh1 0.500 0.500 0.000
Rh2 0.500 0.500 0.312
```

---

# 5
Structure and theoretical powder diffractogram of Zn2InRhW (a GGA-PBE-relaxed structure; Cu Kα (λ = 1.5418 Å)).
Kinematic intensities with the Lorentz-polarization factor, no thermal factor.

Largest 10 diffraction maxima, by angle, 15 to 90 degrees two-theta:
h k l  two_theta  intensity
1 0 1  26.09  44.6
1 1 0  26.87  48.9
1 1 1  32.42  100.0
0 0 2  36.06  49.9
2 0 0  38.37  84.1
2 0 2  53.67  62.6
2 2 0  55.38  28.6
1 1 3  62.57  24.0
3 1 1  65.65  25.3
2 2 2  67.88  30.3

Crystal structure
```
data_Zn2InRhW
_space_group_name_H-M_alt 'P 4/m m m'
_space_group_IT_number 123
_space_group_name_Hall '-P 4 2'
_cell_length_a 4.692
_cell_length_b 4.692
_cell_length_c 4.981
_cell_angle_alpha 90.00
_cell_angle_beta 90.00
_cell_angle_gamma 90.00
loop_
_atom_site_label
_atom_site_fract_x
_atom_site_fract_y
_atom_site_fract_z
Zn1 0.000 0.500 0.000
In1 0.000 0.000 0.500
Rh1 0.000 0.000 0.000
W1 0.500 0.500 0.500
```

---

# 6
Structure and theoretical powder diffractogram of Y2In3Rh (a GGA-PBE-relaxed structure; Cu Kα (λ = 1.5418 Å)).
Kinematic intensities with the Lorentz-polarization factor, no thermal factor.

Largest 10 diffraction maxima, by angle, 15 to 90 degrees two-theta:
h k l  two_theta  intensity
1 0 0  24.78  23.7
1 1 1  32.84  100.0
1 0 2  32.95  46.7
0 2 0  37.10  44.5
0 1 3  37.38  75.1
1 1 3  45.36  23.9
1 2 2  50.45  27.2
2 0 0  50.79  27.3
2 2 0  64.55  25.9
2 1 3  64.74  36.4

Crystal structure
```
data_Y2In3Rh
_space_group_name_H-M_alt 'P m m 2'
_space_group_IT_number 25
_space_group_name_Hall 'P 2 -2'
_cell_length_a 3.593
_cell_length_b 4.847
_cell_length_c 8.315
_cell_angle_alpha 90.00
_cell_angle_beta 90.00
_cell_angle_gamma 90.00
loop_
_atom_site_label
_atom_site_fract_x
_atom_site_fract_y
_atom_site_fract_z
Y1 0.000 0.000 0.000
Y2 0.000 0.500 0.433
In1 0.500 0.000 0.607
In2 0.500 0.500 0.131
In3 0.500 0.500 0.789
Rh1 0.500 0.000 0.280
```

---

# 7
Structure and theoretical powder diffractogram of Y4InRh2 (a GGA-PBE-relaxed structure; Cu Kα (λ = 1.5418 Å)).
Kinematic intensities with the Lorentz-polarization factor, no thermal factor.

Largest 10 diffraction maxima, by angle, 15 to 90 degrees two-theta:
h k l  two_theta  intensity
0 4 1  28.91  48.1
1 3 1  31.93  58.7
1 3 -2  32.16  47.9
1 5 0  32.84  100.0
3 1 -2  33.10  47.9
0 2 2  34.70  39.6
2 4 -2  36.00  53.9
2 2 1  40.55  34.2
1 1 -3  42.92  21.7
1 7 0  44.62  38.9

Crystal structure
```
data_Y4InRh2
_space_group_name_H-M_alt 'C 1 c 1'
_space_group_IT_number 9
_space_group_name_Hall 'C -2yc'
_cell_length_a 8.556
_cell_length_b 14.902
_cell_length_c 6.934
_cell_angle_alpha 90.00
_cell_angle_beta 127.35
_cell_angle_gamma 90.00
loop_
_atom_site_label
_atom_site_fract_x
_atom_site_fract_y
_atom_site_fract_z
Y1 0.000 0.013 0.000
Y2 0.033 0.421 0.364
Y3 0.106 0.212 0.691
Y4 0.262 0.210 0.312
In1 0.179 0.382 0.989
Rh1 0.315 0.076 0.031
Rh2 0.394 0.335 0.710
```

---

# 8
Structure and theoretical powder diffractogram of YIn4Rh2 (a GGA-PBE-relaxed structure; Cu Kα (λ = 1.5418 Å)).
Kinematic intensities with the Lorentz-polarization factor, no thermal factor.

Largest 10 diffraction maxima, by angle, 15 to 90 degrees two-theta:
h k l  two_theta  intensity
1 1 2  32.26  22.6
2 1 2  33.38  100.0
5 1 1  33.89  66.4
6 1 0  35.48  26.9
7 0 1  36.40  28.0
0 2 0  40.23  57.7
3 0 3  40.39  23.8
6 1 2  43.73  35.8
2 1 3  43.91  23.5
7 2 1  55.36  16.4

Crystal structure
```
data_YIn4Rh2
_space_group_name_H-M_alt 'P n m a'
_space_group_IT_number 62
_space_group_name_Hall '-P 2ac 2n'
_cell_length_a 18.391
_cell_length_b 4.484
_cell_length_c 7.200
_cell_angle_alpha 90.00
_cell_angle_beta 90.00
_cell_angle_gamma 90.00
loop_
_atom_site_label
_atom_site_fract_x
_atom_site_fract_y
_atom_site_fract_z
Y1 0.141 0.250 0.038
In1 0.034 0.750 0.857
In2 0.070 0.250 0.499
In3 0.186 0.750 0.332
In4 0.192 0.750 0.746
Rh1 0.041 0.750 0.245
Rh2 0.218 0.250 0.542
```

---

# 9
Structure and theoretical powder diffractogram of Y3InRh8 (a GGA-PBE-relaxed structure; Cu Kα (λ = 1.5418 Å)).
Kinematic intensities with the Lorentz-polarization factor, no thermal factor.

Largest 10 diffraction maxima, by angle, 15 to 90 degrees two-theta:
h k l  two_theta  intensity
0 1 8  33.62  16.3
1 1 0  33.76  16.4
1 0 10  39.62  33.1
2 0 2  39.77  100.0
0 0 12  41.40  14.7
0 2 4  41.64  42.9
3 0 6  64.39  30.8
0 2 16  70.67  17.9
2 2 0  71.01  18.1
2 2 12  85.67  10.5

Crystal structure
```
data_Y3InRh8
_space_group_name_H-M_alt 'R 3 m'
_space_group_IT_number 160
_space_group_name_Hall 'R 3 -2"'
_cell_length_a 5.3095
_cell_length_b 5.3095
_cell_length_c 26.1739
_cell_angle_alpha 90.00
_cell_angle_beta 90.00
_cell_angle_gamma 120.00
loop_
_atom_site_label
_atom_site_fract_x
_atom_site_fract_y
_atom_site_fract_z
Y1 0.0000 0.0000 0.0000
Y2 0.0000 0.0000 0.1279
Y3 0.0000 0.0000 0.5075
In1 0.0000 0.0000 0.6298
Rh1 0.0000 0.0000 0.3155
Rh2 0.0000 0.0000 0.8157
Rh3 0.9996 0.4998 0.5661
Rh4 0.1671 0.3342 0.3990
```

---

# 10
Structure and theoretical powder diffractogram of Y2InRh (a GGA-PBE-relaxed structure; Cu Kα (λ = 1.5418 Å)).
Kinematic intensities with the Lorentz-polarization factor, no thermal factor.

Largest 10 diffraction maxima, by angle, 15 to 90 degrees two-theta:
h k l  two_theta  intensity
0 1 1  21.29  15.4
0 1 3  30.59  24.2
0 0 4  30.90  23.9
1 1 1  31.59  100.0
1 1 3  38.66  62.9
1 0 4  38.91  32.7
0 2 0  40.31  30.9
2 0 0  47.13  24.3
1 2 4  57.26  28.2
2 2 0  63.71  19.2

Crystal structure
```
data_Y2InRh
_space_group_name_H-M_alt 'A m m 2'
_space_group_IT_number 38
_space_group_name_Hall 'A 2 -2'
_cell_length_a 3.856
_cell_length_b 4.475
_cell_length_c 11.574
_cell_angle_alpha 90.00
_cell_angle_beta 90.00
_cell_angle_gamma 90.00
loop_
_atom_site_label
_atom_site_fract_x
_atom_site_fract_y
_atom_site_fract_z
Y1 0.000 0.000 0.000
Y2 0.500 0.000 0.301
In1 0.000 0.000 0.707
Rh1 0.500 0.000 0.536
```